Entry 1:
Structure and theoretical X-ray diffraction stick pattern of Sr4Ti3Nb2O15 (a structure optimized by DFT (GGA-PBE); Cu Kα X-rays).
Kinematic intensities with the Lorentz-polarization factor, no thermal factor.

Main lines, by angle (2θ = 10–80°):
18.96 deg, rel. 14; 31.85 deg, rel. 100; 45.66 deg, rel. 41; 56.64 deg, rel. 10; 56.78 deg, rel. 29; 66.48 deg, rel. 12; 66.63 deg, rel. 12; 75.74 deg, rel. 8

Atomic structure:
```
Sr4Ti3Nb2O15
1.0
2.8071 1.6207 11.4944
-2.8071 1.6207 11.4944
0.0000 -3.2413 11.4944
Sr Ti Nb O
4 3 2 15
Direct
0.0986 0.0986 0.0986
0.3014 0.3014 0.3014
0.6986 0.6986 0.6986
0.9014 0.9014 0.9014
0.0000 0.0000 0.0000
0.3997 0.3997 0.3997
0.6003 0.6003 0.6003
0.2002 0.2002 0.2002
0.7998 0.7998 0.7998
0.0000 0.0000 0.5000
0.0000 0.5000 0.0000
0.0919 0.6000 0.6000
0.1996 0.1996 0.6999
0.1996 0.6999 0.1996
0.3001 0.8004 0.8004
0.4000 0.4000 0.9081
0.4000 0.9081 0.4000
0.5000 0.0000 0.0000
0.6000 0.0919 0.6000
0.6000 0.6000 0.0919
0.6999 0.1996 0.1996
0.8004 0.3001 0.8004
0.8004 0.8004 0.3001
0.9081 0.4000 0.4000
```

=====

Entry 2:
Structure and theoretical X-ray diffraction stick pattern of Er3TmIr3 (a structure optimized by DFT (GGA-PBE); Cu Kα X-rays).
Kinematic intensities with the Lorentz-polarization factor, no thermal factor.

Main lines, by angle (2θ = 10–80°):
12.78 deg, rel. 20; 36.61 deg, rel. 27; 36.79 deg, rel. 27; 37.89 deg, rel. 100; 52.88 deg, rel. 19; 66.76 deg, rel. 19; 66.99 deg, rel. 19; 69.15 deg, rel. 9

Atomic structure:
```
Er3TmIr3
1.0
4.8857 -4.9093 0.0000
4.8857 4.9093 0.0000
0.0000 0.0000 6.5244
Er Tm Ir
6 2 6
Direct
0.2453 0.2453 0.0000
0.2449 0.7551 0.0000
0.2469 0.2469 0.5000
0.7531 0.7531 0.5000
0.7551 0.2449 0.0000
0.7547 0.7547 0.0000
0.2426 0.7574 0.5000
0.7574 0.2426 0.5000
0.0000 0.0000 0.2501
0.0000 0.0000 0.7499
0.0000 0.5000 0.2507
0.0000 0.5000 0.7493
0.5000 0.0000 0.2507
0.5000 0.0000 0.7493
```

=====

Entry 3:
Structure and theoretical X-ray diffraction stick pattern of TmMgB (a structure optimized by DFT (GGA-PBE); Cu Kα X-rays).
Kinematic intensities with the Lorentz-polarization factor, no thermal factor.

Main lines, by angle (2θ = 10–80°):
25.92 deg, rel. 100; 26.54 deg, rel. 61; 29.26 deg, rel. 64; 33.15 deg, rel. 97; 33.99 deg, rel. 76; 38.41 deg, rel. 45; 40.53 deg, rel. 86; 56.69 deg, rel. 49

Atomic structure:
```
TmMgB
1.0
3.4891 0.0000 0.0000
0.0000 20.1499 0.0000
0.0000 0.0000 3.2025
Tm Mg B
4 4 4
Direct
0.0000 0.0779 0.2500
0.0000 0.9221 0.7500
0.5000 0.4221 0.7500
0.5000 0.5779 0.2500
0.0000 0.3001 0.2500
0.0000 0.6999 0.7500
0.5000 0.1999 0.7500
0.5000 0.8001 0.2500
0.0000 0.4841 0.2500
0.0000 0.5159 0.7500
0.5000 0.0159 0.7500
0.5000 0.9841 0.2500
```

=====

Entry 4:
Structure and theoretical X-ray diffraction stick pattern of KSn4I8 (a structure optimized by DFT (GGA-PBE); Cu Kα X-rays).
Kinematic intensities with the Lorentz-polarization factor, no thermal factor.

Main lines, by angle (2θ = 10–80°):
11.12 deg, rel. 56; 22.35 deg, rel. 23; 25.86 deg, rel. 100; 33.80 deg, rel. 34; 36.90 deg, rel. 81; 45.61 deg, rel. 24; 60.06 deg, rel. 27; 66.49 deg, rel. 21

Atomic structure:
```
KSn4I8
1.0
0.0000 6.8893 6.8893
6.8893 0.0000 6.8893
6.8893 6.8893 0.0000
K Sn I
1 4 8
Direct
0.0000 0.0000 0.0000
0.3791 0.3791 0.3791
0.3791 0.3791 0.8627
0.3791 0.8627 0.3791
0.8627 0.3791 0.3791
0.1412 0.1412 0.1412
0.1412 0.1412 0.5764
0.1412 0.5764 0.1412
0.1602 0.6133 0.6133
0.5764 0.1412 0.1412
0.6133 0.1602 0.6133
0.6133 0.6133 0.1602
0.6133 0.6133 0.6133
```

=====

Entry 5:
Structure and theoretical X-ray diffraction stick pattern of CaSm (a structure optimized by DFT (GGA-PBE); Cu Kα X-rays).
Kinematic intensities with the Lorentz-polarization factor, no thermal factor.

Main lines, by angle (2θ = 10–80°):
25.24 deg, rel. 15; 29.16 deg, rel. 100; 33.57 deg, rel. 15; 33.92 deg, rel. 35; 34.80 deg, rel. 21; 34.97 deg, rel. 13; 48.46 deg, rel. 22; 57.80 deg, rel. 28

Atomic structure:
```
CaSm
1.0
3.7379 0.0000 0.0000
0.0000 3.7379 0.0000
0.0000 0.0000 10.6793
Ca Sm
2 2
Direct
0.2500 0.2500 0.1364
0.7500 0.7500 0.8636
0.2500 0.2500 0.6094
0.7500 0.7500 0.3906
```

=====

Entry 6:
Structure and theoretical X-ray diffraction stick pattern of KTl3Co2Cl8 (a structure optimized by DFT (GGA-PBE); Cu Kα X-rays).
Kinematic intensities with the Lorentz-polarization factor, no thermal factor.

Main lines, by angle (2θ = 10–80°):
16.59 deg, rel. 42; 22.67 deg, rel. 81; 24.40 deg, rel. 100; 29.65 deg, rel. 44; 33.54 deg, rel. 56; 38.72 deg, rel. 36; 41.91 deg, rel. 34; 50.00 deg, rel. 26

Atomic structure:
```
KTl3Co2Cl8
1.0
7.2966 0.0000 0.0000
-3.6483 6.3191 0.0000
0.0000 0.0000 10.0082
K Tl Co Cl
1 3 2 8
Direct
0.0000 0.0000 0.0000
0.0000 0.0000 0.5000
0.3333 0.6667 0.1930
0.6667 0.3333 0.8070
0.3333 0.6667 0.6991
0.6667 0.3333 0.3009
0.1666 0.3331 0.7760
0.1666 0.8334 0.7760
0.3331 0.1666 0.2240
0.3333 0.6667 0.4749
0.6667 0.3333 0.5251
0.6669 0.8334 0.7760
0.8334 0.1666 0.2240
0.8334 0.6669 0.2240
```

=====

What is the formula in the fourth record? KSn4I8

=====

Repeat the fifth record exactly.
Structure and theoretical X-ray diffraction stick pattern of CaSm (a structure optimized by DFT (GGA-PBE); Cu Kα X-rays).
Kinematic intensities with the Lorentz-polarization factor, no thermal factor.

Main lines, by angle (2θ = 10–80°):
25.24 deg, rel. 15; 29.16 deg, rel. 100; 33.57 deg, rel. 15; 33.92 deg, rel. 35; 34.80 deg, rel. 21; 34.97 deg, rel. 13; 48.46 deg, rel. 22; 57.80 deg, rel. 28

Atomic structure:
```
CaSm
1.0
3.7379 0.0000 0.0000
0.0000 3.7379 0.0000
0.0000 0.0000 10.6793
Ca Sm
2 2
Direct
0.2500 0.2500 0.1364
0.7500 0.7500 0.8636
0.2500 0.2500 0.6094
0.7500 0.7500 0.3906
```

=====

Number 1 is which compound? Sr4Ti3Nb2O15